(1)
The following is a simulated powder diffractogram of MnGeCN. It was derived from a GGA-PBE-relaxed structure, using copper Kα.
Peak positions follow from Bragg's law for the DFT cell and can differ from measured ones.

Crystal structure
```
data_MnGeCN
_chemical_formula_sum 'Mn2 Ge2 C2 N2'
_cell_length_a 9.369
_cell_length_b 2.714
_cell_length_c 3.858
_cell_angle_alpha 90.00
_cell_angle_beta 112.36
_cell_angle_gamma 90.00
_space_group_name_H-M_alt 'C 1 m 1'
_space_group_IT_number 8
loop_
_space_group_symop_operation_xyz
'x,y,z'
'x,-y,z'
'x+1/2,y+1/2,z'
'x+1/2,-y+1/2,z'
loop_
_atom_site_label
_atom_site_fract_x
_atom_site_fract_y
_atom_site_fract_z
Mn1 0.000 0.000 0.000
Ge1 0.217 0.000 0.719
C1 0.441 0.000 0.608
N1 0.435 0.000 0.266
```

Main lines, in order of falling intensity (10 to 80 degrees two-theta):
index  2θ (°)  I_rel
1 1 0  34.63  100
1 1 1  45.56  90
3 1 -1  46.33  90
0 0 1  24.96  69
2 0 -1  25.61  68
2 0 1  38.30  60
4 0 0  41.70  56
4 0 -1  39.62  51
5 1 0  63.72  33
2 0 -2  47.15  32


(2)
The following is a simulated powder diffractogram of Sm4PuO10. It was derived from a GGA-PBE-relaxed structure, using copper Kα.
Peak positions follow from Bragg's law for the DFT cell and can differ from measured ones.

Crystal structure
```
data_Sm4PuO10
_chemical_formula_sum 'Sm8 Pu2 O20'
_cell_length_a 8.583
_cell_length_b 8.583
_cell_length_c 5.491
_cell_angle_alpha 90.00
_cell_angle_beta 90.00
_cell_angle_gamma 90.00
_space_group_name_H-M_alt 'I 4/m'
_space_group_IT_number 87
_space_group_name_Hall '-I 4'
loop_
_atom_site_label
_atom_site_fract_x
_atom_site_fract_y
_atom_site_fract_z
Sm1 0.097 0.305 0.000
Pu1 0.000 0.000 0.500
O1 0.000 0.500 0.250
O2 0.096 0.818 0.271
```

Main lines, in order of falling intensity (10 to 80 degrees two-theta):
index  2θ (°)  I_rel
2 1 1  28.37  100
1 3 2  47.08  35
3 4 1  56.14  30
1 3 0  33.00  22
4 2 0  47.37  17
2 1 3  55.63  16
5 0 3  76.00  12
0 0 2  32.62  11
4 2 2  58.69  9
6 3 1  76.43  6